# 1
Structure and simulated powder diffractogram of CaAc5Sm2 (a crystal structure in Alexandria, relaxed with GGA-PBE; Cu Kα).

Most intense lines, 10° ≤ 2θ ≤ 90°, in order of falling intensity:
two_theta	d/Å	intensity
28.78	3.102	100.0
28.19	3.165	74.3
29.60	3.018	45.9
29.90	2.989	42.9
52.37	1.747	38.7
56.11	1.639	31.7

Cell and atoms:
a b c (Å): 3.8609 11.9550 14.5183
angles (deg): 90.00 90.00 90.00
Space group Immm (No. 71)
Asymmetric unit:
Ca (0.0000, 0.0000, 0.0000) x2
Ac (0.0000, 0.2333, 0.3671) x8
Ac (0.0000, 0.5000, 0.0000) x2
Sm (0.0000, 0.5000, 0.2529) x4

=====

# 2
Structure and simulated powder diffractogram of Th2Co5Ni5 (a crystal structure in Alexandria, relaxed with GGA-PBE; Cu Kα).

Most intense lines, 10° ≤ 2θ ≤ 90°, in order of falling intensity:
two_theta	d/Å	intensity
42.78	2.114	100.0
30.57	2.925	70.8
43.45	2.083	47.0
36.22	2.480	38.4
44.86	2.021	36.4
42.67	2.119	34.1

Cell and atoms:
a b c (Å): 4.0411 4.8610 8.6506
angles (deg): 90.00 90.00 90.00
Space group Pmmm (No. 47)
Asymmetric unit:
Th (0.0000, 0.0000, 0.0000) x1
Th (0.0000, 0.5000, 0.5000) x1
Co (0.5000, 0.0000, 0.5000) x1
Co (0.5000, 0.2526, 0.2540) x4
Ni (0.0000, 0.0000, 0.3303) x2
Ni (0.0000, 0.5000, 0.1675) x2
Ni (0.5000, 0.5000, 0.0000) x1